No. 1
Simulated powder XRD pattern
Compound: In2AgSe3Cl
Radiation: Cu Kα (weighted mean of Kα1 and Kα2)
Structure: a GGA-PBE-relaxed structure

Atomic structure:
a b c (Å): 8.0764 8.0764 8.0764
angles (deg): 61.04 61.04 61.04
Sites, in units of the cell vectors:
In1 0.0000 0.0000 0.0000
In2 0.0000 0.0000 0.5000
In3 0.0000 0.5000 0.0000
In4 0.5000 0.0000 0.0000
Ag1 0.4080 0.4080 0.4080
Ag2 0.5920 0.5920 0.5920
Se1 0.2150 0.7586 0.7586
Se2 0.2414 0.2414 0.7850
Se3 0.2414 0.7850 0.2414
Se4 0.7586 0.2150 0.7586
Se5 0.7586 0.7586 0.2150
Se6 0.7850 0.2414 0.2414
Cl1 0.2481 0.2481 0.2481
Cl2 0.7519 0.7519 0.7519

Top 10 peaks for 10 to 90 degrees two-theta, sorted by position:
- 15.40 deg, d 5.755, I 22
- 25.48 deg, d 3.495, I 38
- 25.63 deg, d 3.475, I 37
- 25.93 deg, d 3.436, I 31
- 31.08 deg, d 2.877, I 100
- 40.71 deg, d 2.216, I 38
- 44.16 deg, d 2.051, I 74
- 44.90 deg, d 2.019, I 46
- 46.85 deg, d 1.939, I 23
- 74.16 deg, d 1.279, I 26

***

No. 2
Simulated powder XRD pattern
Compound: InAg2Te2Cl2
Radiation: Cu Kα (weighted mean of Kα1 and Kα2)
Structure: a GGA-PBE-relaxed structure

Atomic structure:
a b c (Å): 4.4592 7.4899 7.6024
angles (deg): 114.53 90.10 107.22
Sites, in units of the cell vectors:
In1 0.0000 0.0000 0.0000
Ag1 0.2884 0.5767 0.6140
Ag2 0.7116 0.4233 0.3860
Te1 0.2199 0.4410 0.1851
Te2 0.7801 0.5590 0.8149
Cl1 0.4975 0.9932 0.2293
Cl2 0.5025 0.0068 0.7707

Top 10 peaks for 10 to 90 degrees two-theta, sorted by position:
- 13.75 deg, d 6.441, I 53
- 14.20 deg, d 6.237, I 100
- 23.16 deg, d 3.841, I 35
- 27.70 deg, d 3.221, I 53
- 31.24 deg, d 2.864, I 80
- 37.40 deg, d 2.405, I 31
- 40.46 deg, d 2.230, I 29
- 41.15 deg, d 2.194, I 39
- 45.26 deg, d 2.004, I 36
- 49.74 deg, d 1.833, I 23

***

Repeat the second record exactly.
Simulated powder XRD pattern
Compound: InAg2Te2Cl2
Radiation: Cu Kα (weighted mean of Kα1 and Kα2)
Structure: a GGA-PBE-relaxed structure

Atomic structure:
a b c (Å): 4.4592 7.4899 7.6024
angles (deg): 114.53 90.10 107.22
Sites, in units of the cell vectors:
In1 0.0000 0.0000 0.0000
Ag1 0.2884 0.5767 0.6140
Ag2 0.7116 0.4233 0.3860
Te1 0.2199 0.4410 0.1851
Te2 0.7801 0.5590 0.8149
Cl1 0.4975 0.9932 0.2293
Cl2 0.5025 0.0068 0.7707

Top 10 peaks for 10 to 90 degrees two-theta, sorted by position:
- 13.75 deg, d 6.441, I 53
- 14.20 deg, d 6.237, I 100
- 23.16 deg, d 3.841, I 35
- 27.70 deg, d 3.221, I 53
- 31.24 deg, d 2.864, I 80
- 37.40 deg, d 2.405, I 31
- 40.46 deg, d 2.230, I 29
- 41.15 deg, d 2.194, I 39
- 45.26 deg, d 2.004, I 36
- 49.74 deg, d 1.833, I 23